(1)
BaAcCd3: calculated X-ray powder pattern (CuKα), based on a structure optimized by DFT (PBE).

Atomic structure:
```
BaAcCd3
1.0
2.066 -15.700 0.000
2.066 15.700 0.000
0.000 0.000 5.203
Ba Ac Cd
2 2 6
Cartesian
2.066 13.384 3.902
2.066 -13.384 1.301
2.066 9.079 1.301
2.066 -9.079 3.902
2.066 5.488 1.301
2.066 3.810 3.902
2.066 0.769 3.902
2.066 -0.769 1.301
2.066 -3.810 1.301
2.066 -5.488 3.902
```

Peak list (10 most intense, 2θ from 10° to 90°, low angle first)
| d/Å | 2theta | I/Imax |
| --- | --- | --- |
| 3.219 | 27.7 | 139 |
| 3.092 | 28.9 | 1000 |
| 3.039 | 29.4 | 570 |
| 2.688 | 33.3 | 642 |
| 2.602 | 34.5 | 380 |
| 2.373 | 37.9 | 146 |
| 2.066 | 43.8 | 194 |
| 1.976 | 45.9 | 335 |
| 1.638 | 56.1 | 282 |
| 1.618 | 56.9 | 177 |

---

(2)
Rb2TiP2: calculated X-ray powder pattern (CuKα), based on a structure optimized by DFT (PBE).

Atomic structure:
```
Rb2TiP2
1.0
-3.707 6.790 3.226
3.707 -6.790 3.226
3.707 6.790 -3.226
Rb Ti P
4 2 4
Cartesian
1.101 2.067 0.000
4.808 4.723 0.000
-1.101 2.067 3.226
2.606 4.723 3.226
3.707 0.000 1.613
0.000 6.790 1.613
4.968 1.258 0.000
1.261 5.532 0.000
2.446 1.258 3.226
-1.261 5.532 3.226
```

Peak list (10 most intense, 2θ from 10° to 90°, low angle first)
| d/Å | 2theta | I/Imax |
| --- | --- | --- |
| 3.956 | 22.5 | 416 |
| 3.863 | 23.0 | 644 |
| 3.226 | 27.7 | 355 |
| 3.128 | 28.5 | 1000 |
| 2.784 | 32.1 | 436 |
| 2.621 | 34.2 | 208 |
| 2.433 | 36.9 | 230 |
| 2.339 | 38.5 | 404 |
| 2.074 | 43.6 | 266 |
| 1.800 | 50.7 | 267 |

---

(3)
AlAg3F7: calculated X-ray powder pattern (CuKα), based on a structure optimized by DFT (PBE).

Atomic structure:
```
AlAg3F7
1.0
4.240 2.448 3.070
-4.240 2.448 3.070
0.000 -4.895 3.070
Al Ag F
1 3 7
Cartesian
0.000 0.000 0.000
0.000 -2.147 5.925
-1.859 1.074 5.925
1.859 1.074 5.925
0.000 -3.293 3.654
-2.852 1.647 3.654
-1.576 -0.910 4.849
1.576 -0.910 4.849
0.000 1.820 4.849
0.000 0.000 7.505
2.852 1.647 3.655
```

Peak list (10 most intense, 2θ from 10° to 90°, low angle first)
| d/Å | 2theta | I/Imax |
| --- | --- | --- |
| 5.742 | 15.4 | 239 |
| 3.411 | 26.1 | 1000 |
| 3.070 | 29.1 | 171 |
| 2.871 | 31.2 | 319 |
| 2.377 | 37.8 | 213 |
| 2.120 | 42.7 | 216 |
| 1.951 | 46.6 | 220 |
| 1.914 | 47.5 | 134 |
| 1.744 | 52.5 | 150 |
| 1.646 | 55.8 | 117 |

---

(4)
Y3GaHg2: calculated X-ray powder pattern (CuKα), based on a structure optimized by DFT (PBE).

Atomic structure:
```
Y3GaHg2
1.0
3.673 0.000 0.000
0.000 3.673 0.000
0.000 0.000 11.108
Y Ga Hg
3 1 2
Cartesian
0.000 0.000 0.000
0.000 0.000 3.807
0.000 0.000 7.302
1.836 1.836 5.554
1.836 1.836 1.887
1.836 1.836 9.221
```

Peak list (10 most intense, 2θ from 10° to 90°, low angle first)
| d/Å | 2theta | I/Imax |
| --- | --- | --- |
| 3.673 | 24.2 | 84 |
| 2.608 | 34.4 | 1000 |
| 2.597 | 34.5 | 499 |
| 1.851 | 49.2 | 88 |
| 1.836 | 49.6 | 178 |
| 1.508 | 61.5 | 180 |
| 1.501 | 61.8 | 365 |
| 1.304 | 72.5 | 110 |
| 1.170 | 82.4 | 76 |
| 1.162 | 83.1 | 161 |

---

(5)
LaTb6Sm10: calculated X-ray powder pattern (CuKα), based on a structure optimized by DFT (PBE).

Atomic structure:
```
LaTb6Sm10
1.0
9.831 0.000 0.000
-4.915 8.514 0.000
0.000 0.000 6.900
La Tb Sm
1 6 10
Cartesian
0.000 0.000 0.000
-1.845 3.195 1.353
-3.071 5.319 5.547
3.689 0.000 1.353
1.845 3.195 5.547
6.142 0.000 5.547
3.071 5.319 1.353
-1.360 2.355 4.705
-3.556 6.159 2.195
2.719 0.000 4.705
1.360 2.355 2.195
0.000 5.676 0.000
0.000 5.676 3.450
4.915 2.838 0.000
4.915 2.838 3.450
7.112 0.000 2.195
3.556 6.159 4.705
```

Peak list (10 most intense, 2θ from 10° to 90°, low angle first)
| d/Å | 2theta | I/Imax |
| --- | --- | --- |
| 2.916 | 30.7 | 441 |
| 2.838 | 31.5 | 792 |
| 2.824 | 31.7 | 1000 |
| 2.234 | 40.4 | 122 |
| 2.002 | 45.3 | 255 |
| 1.879 | 48.4 | 131 |
| 1.636 | 56.2 | 177 |
| 1.628 | 56.5 | 176 |
| 1.567 | 58.9 | 103 |
| 1.493 | 62.2 | 111 |

---

(6)
Al5Ag2: calculated X-ray powder pattern (CuKα), based on a structure optimized by DFT (PBE).

Atomic structure:
```
Al5Ag2
1.0
2.860 0.000 0.000
0.004 4.115 0.000
1.393 1.776 10.031
Al Ag
5 2
Cartesian
0.000 0.000 0.000
1.409 1.864 7.145
1.413 1.933 4.327
2.844 3.959 5.705
2.848 4.028 2.886
1.419 2.003 1.468
2.838 3.889 8.563
```

Peak list (10 most intense, 2θ from 10° to 90°, low angle first)
| d/Å | 2theta | I/Imax |
| --- | --- | --- |
| 4.052 | 21.9 | 368 |
| 4.008 | 22.2 | 378 |
| 3.344 | 26.7 | 264 |
| 2.832 | 31.6 | 393 |
| 2.383 | 37.7 | 519 |
| 2.348 | 38.3 | 1000 |
| 2.322 | 38.8 | 532 |
| 2.057 | 44.0 | 332 |
| 2.028 | 44.7 | 337 |
| 2.021 | 44.9 | 313 |

---

(7)
RbBaH2: calculated X-ray powder pattern (CuKα), based on a structure optimized by DFT (PBE).

Atomic structure:
```
RbBaH2
1.0
4.328 0.000 0.000
-0.003 6.928 0.000
-2.119 -0.422 8.657
Rb Ba H
2 2 4
Cartesian
0.000 0.000 0.000
0.026 3.216 6.260
0.033 6.608 4.375
2.197 3.122 2.707
0.035 1.475 2.545
0.033 4.213 3.562
2.199 1.437 4.855
2.199 5.124 5.122
```

Peak list (10 most intense, 2θ from 10° to 90°, low angle first)
| d/Å | 2theta | I/Imax |
| --- | --- | --- |
| 8.657 | 10.2 | 431 |
| 3.753 | 23.7 | 645 |
| 3.609 | 24.7 | 505 |
| 3.592 | 24.8 | 670 |
| 3.571 | 24.9 | 680 |
| 3.464 | 25.7 | 1000 |
| 3.454 | 25.8 | 343 |
| 2.413 | 37.3 | 234 |
| 2.164 | 41.7 | 306 |
| 1.835 | 49.7 | 210 |

---

(8)
Pm3Co: calculated X-ray powder pattern (CuKα), based on a structure optimized by DFT (PBE).

Atomic structure:
```
Pm3Co
1.0
6.650 -5.848 0.000
6.650 5.848 0.000
-3.002 0.000 5.561
Pm Co
12 4
Cartesian
0.000 0.000 0.000
6.594 -4.207 3.558
4.904 2.758 0.871
1.127 -1.868 2.855
3.651 -0.703 0.625
3.423 0.522 3.618
5.394 2.758 4.690
6.875 0.522 1.943
3.704 -4.207 2.003
6.650 -2.568 0.000
6.647 -0.703 4.936
9.171 -1.868 2.706
2.099 1.642 1.131
5.149 5.100 2.781
8.199 1.642 4.430
5.149 -1.831 2.781
```

Peak list (10 most intense, 2θ from 10° to 90°, low angle first)
| d/Å | 2theta | I/Imax |
| --- | --- | --- |
| 3.319 | 26.9 | 343 |
| 2.952 | 30.3 | 880 |
| 2.887 | 31.0 | 946 |
| 2.758 | 32.5 | 501 |
| 2.616 | 34.3 | 329 |
| 2.589 | 34.7 | 1000 |
| 2.511 | 35.8 | 284 |
| 1.767 | 51.7 | 296 |
| 1.692 | 54.2 | 241 |
| 1.655 | 55.5 | 214 |

---

(9)
TaMo2Ir: calculated X-ray powder pattern (CuKα), based on a structure optimized by DFT (PBE).

Atomic structure:
```
TaMo2Ir
1.0
2.763 0.000 0.000
0.000 4.534 0.000
-1.007 0.000 5.123
Ta Mo Ir
1 2 1
Cartesian
0.000 0.000 0.000
-0.128 2.267 3.849
1.884 2.267 1.274
0.878 0.000 2.561
```

Peak list (10 most intense, 2θ from 10° to 90°, low angle first)
| d/Å | 2theta | I/Imax |
| --- | --- | --- |
| 4.534 | 19.6 | 176 |
| 2.265 | 39.8 | 1000 |
| 2.229 | 40.5 | 956 |
| 1.589 | 58.1 | 329 |
| 1.308 | 72.2 | 115 |
| 1.302 | 72.6 | 227 |
| 1.299 | 72.8 | 110 |
| 1.280 | 74.1 | 161 |
| 1.132 | 85.8 | 73 |
| 1.115 | 87.5 | 73 |

---

(10)
Mg3Al2Cu4: calculated X-ray powder pattern (CuKα), based on a structure optimized by DFT (PBE).

Atomic structure:
```
Mg3Al2Cu4
1.0
5.018 0.000 0.000
2.486 4.416 0.000
0.224 0.011 12.482
Mg Al Cu
6 4 8
Cartesian
0.110 0.035 4.632
2.568 1.523 3.601
2.519 1.477 0.508
5.209 2.950 11.973
5.161 2.905 8.881
7.618 4.392 7.850
1.442 0.730 10.409
2.621 0.006 6.241
3.864 2.214 6.241
6.286 3.698 2.072
0.000 0.000 0.000
1.355 2.214 6.241
2.678 2.941 10.410
3.782 3.693 2.080
2.651 1.461 8.323
5.078 2.966 4.159
3.946 0.734 10.402
5.050 1.487 2.072
```

Peak list (10 most intense, 2θ from 10° to 90°, low angle first)
| d/Å | 2theta | I/Imax |
| --- | --- | --- |
| 4.160 | 21.4 | 610 |
| 4.090 | 21.7 | 1000 |
| 2.180 | 41.4 | 886 |
| 2.173 | 41.6 | 531 |
| 2.164 | 41.7 | 662 |
| 2.152 | 42.0 | 292 |
| 2.131 | 42.4 | 219 |
| 2.081 | 43.5 | 908 |
| 2.073 | 43.7 | 452 |
| 2.045 | 44.3 | 421 |

---

(11)
Ac12ErSn7: calculated X-ray powder pattern (CuKα), based on a structure optimized by DFT (PBE).

Atomic structure:
```
Ac12ErSn7
1.0
8.236 4.755 3.742
-8.236 4.755 3.742
0.000 -9.510 3.742
Ac Er Sn
12 1 7
Cartesian
-0.722 -2.697 1.826
-1.975 1.974 1.826
-3.225 -3.304 5.617
-4.473 1.141 5.608
2.697 0.723 1.826
1.249 -4.445 5.608
-1.249 4.445 5.617
-2.697 -0.723 9.398
4.473 -1.141 5.617
3.225 3.304 5.608
1.975 -1.974 9.398
0.722 2.697 9.398
0.000 0.000 5.612
0.000 0.000 0.000
-2.446 -0.672 3.783
1.805 -1.782 3.783
0.641 2.454 3.783
-0.641 -2.454 7.441
-1.805 1.782 7.441
2.446 0.672 7.442
```

Peak list (10 most intense, 2θ from 10° to 90°, low angle first)
| d/Å | 2theta | I/Imax |
| --- | --- | --- |
| 3.734 | 23.8 | 568 |
| 3.234 | 27.6 | 1000 |
| 2.287 | 39.4 | 777 |
| 1.951 | 46.6 | 211 |
| 1.871 | 48.7 | 73 |
| 1.866 | 48.8 | 207 |
| 1.617 | 57.0 | 132 |
| 1.447 | 64.4 | 186 |
| 1.445 | 64.5 | 175 |
| 1.319 | 71.5 | 195 |

---

(12)
Hg3Os2: calculated X-ray powder pattern (CuKα), based on a structure optimized by DFT (PBE).

Atomic structure:
```
Hg3Os2
1.0
4.773 0.000 0.000
-2.387 4.134 0.000
0.000 0.000 5.509
Hg Os
3 2
Cartesian
0.000 0.000 0.000
0.000 2.756 2.755
2.387 1.378 2.755
0.000 2.756 0.000
2.387 1.378 0.000
```

Peak list (10 most intense, 2θ from 10° to 90°, low angle first)
| d/Å | 2theta | I/Imax |
| --- | --- | --- |
| 5.509 | 16.1 | 86 |
| 4.134 | 21.5 | 151 |
| 3.307 | 27.0 | 229 |
| 2.755 | 32.5 | 493 |
| 2.387 | 37.7 | 1000 |
| 1.804 | 50.6 | 872 |
| 1.378 | 68.0 | 242 |
| 1.232 | 77.4 | 256 |
| 1.193 | 80.5 | 349 |
| 1.095 | 89.5 | 188 |

---

Q: What is the formula in the eighth record?
A: Pm3Co

---

Copy entry 6 word for word.
Al5Ag2: calculated X-ray powder pattern (CuKα), based on a structure optimized by DFT (PBE).

Atomic structure:
```
Al5Ag2
1.0
2.860 0.000 0.000
0.004 4.115 0.000
1.393 1.776 10.031
Al Ag
5 2
Cartesian
0.000 0.000 0.000
1.409 1.864 7.145
1.413 1.933 4.327
2.844 3.959 5.705
2.848 4.028 2.886
1.419 2.003 1.468
2.838 3.889 8.563
```

Peak list (10 most intense, 2θ from 10° to 90°, low angle first)
| d/Å | 2theta | I/Imax |
| --- | --- | --- |
| 4.052 | 21.9 | 368 |
| 4.008 | 22.2 | 378 |
| 3.344 | 26.7 | 264 |
| 2.832 | 31.6 | 393 |
| 2.383 | 37.7 | 519 |
| 2.348 | 38.3 | 1000 |
| 2.322 | 38.8 | 532 |
| 2.057 | 44.0 | 332 |
| 2.028 | 44.7 | 337 |
| 2.021 | 44.9 | 313 |